The following is a theoretical XRD peak list of Sr2SnAu3. It was derived from a GGA-PBE-relaxed structure, using a wavelength of 1.5418 Å.
Intensities are scaled so that the largest is 1000.

Crystal structure
a b c (Å): 3.965 4.873 8.361
angles (deg): 90.00 90.00 90.00
Space group Pmm2 (No. 25)
One atom of each set of equivalent atoms:
Sr 0.000 0.000 0.000 (multiplicity 1)
Sr 0.000 0.500 0.462 (multiplicity 1)
Sn 0.500 0.500 0.805 (multiplicity 1)
Au 0.500 0.000 0.319 (multiplicity 1)
Au 0.500 0.000 0.658 (multiplicity 1)
Au 0.500 0.500 0.140 (multiplicity 1)

The 10 most intense peaks (2θ from 10° to 90°), sorted by position:
2θ (°), Rel. int.
22.42, 556
30.98, 1000
31.09, 508
36.89, 442
37.16, 829
43.84, 410
45.76, 242
48.99, 289
60.17, 216
60.36, 409